Entry 1:
Computed X-ray powder pattern
Compound: PrSm2Al7Au2
Radiation: λ = 1.5418 Å (Cu Kα)
Structure: a DFT-relaxed cell (GGA-PBE, OQMD)
Lines closer than 0.1° are merged.

The 10 most intense peaks (5° ≤ 2θ ≤ 70°), low angle first:
| Position (°2θ) | Rel. int. | (hkl) |
| --- | --- | --- |
| 10.03 | 320 | 0 0 3 |
| 20.13 | 418 | 0 0 6 |
| 22.59 | 248 | 1 0 4 |
| 31.65 | 830 | 1 1 0 |
| 37.80 | 1000 | 1 1 6 |
| 44.46 | 204 | 1 1 9 |
| 56.38 | 163 | 3 0 0 |
| 60.49 | 256 | 3 0 6 |
| 62.01 | 216 | 1 1 15 |
| 66.11 | 161 | 2 2 0 |

Structural model:
Unit cell a=5.6536 b=5.6536 c=26.4622 alpha=90.00 beta=90.00 gamma=120.00
Space group R-3m (No. 166, hexagonal axes)
Symmetry-distinct sites (fractional):
Pr  0.0000  0.0000  0.0000
Sm  0.0000  0.0000  0.1423
Al  0.0000  0.0000  0.5000
Al  0.0093  0.5047  0.9176
Au  0.0000  0.0000  0.3365



Entry 2:
Computed X-ray powder pattern
Compound: Tm2Al2Pt3Au
Radiation: λ = 1.5418 Å (Cu Kα)
Structure: a DFT-relaxed cell (GGA-PBE, OQMD)
Lines closer than 0.1° are merged.

The 10 most intense peaks (5° ≤ 2θ ≤ 70°), low angle first:
| Position (°2θ) | Rel. int. | (hkl) |
| --- | --- | --- |
| 19.50 | 9 | 0 0 2 |
| 23.51 | 461 | 1 0 0 |
| 25.49 | 7 | 0 1 1 |
| 38.01 | 1000 | 1 0 3 |
| 41.33 | 584 | 1 1 0 |
| 48.10 | 71 | 2 0 0 |
| 57.40 | 306 | 0 2 3 |
| 61.06 | 52 | 0 0 6 |
| 65.25 | 57 | 2 1 0 |
| 66.37 | 76 | 0 1 6 |

Structural model:
Unit cell a=4.3687 b=4.3687 c=9.1052 alpha=90.00 beta=90.00 gamma=120.00
Space group P3m1 (No. 156)
Symmetry-distinct sites (fractional):
Tm  0.0000  0.0000  0.0000
Tm  0.3333  0.6667  0.5117
Al  0.6667  0.3333  0.2309
Al  0.6667  0.3333  0.7544
Pt  0.0000  0.0000  0.6688
Pt  0.3333  0.6667  0.1725
Pt  0.3333  0.6667  0.8376
Au  0.0000  0.0000  0.3421



Entry 3:
Computed X-ray powder pattern
Compound: RbAl3Tl3Au4
Radiation: λ = 1.5418 Å (Cu Kα)
Structure: a DFT-relaxed cell (GGA-PBE, OQMD)
Lines closer than 0.1° are merged.

The 10 most intense peaks (5° ≤ 2θ ≤ 70°), low angle first:
| Position (°2θ) | Rel. int. | (hkl) |
| --- | --- | --- |
| 20.86 | 604 | 0 0 1 |
| 24.82 | 366 | 2 0 0 |
| 30.10 | 485 | 1 1 1 |
| 32.64 | 738 | 2 0 1 |
| 33.03 | 788 | 2 1 0 |
| 39.39 | 1000 | 2 1 1 |
| 42.46 | 358 | 0 0 2 |
| 43.40 | 548 | 3 0 1 |
| 43.70 | 283 | 2 2 0 |
| 54.82 | 379 | 2 1 2 |

Structural model:
Unit cell a=8.2850 b=8.2850 c=4.2577 alpha=90.00 beta=90.00 gamma=120.00
Space group P-6m2 (No. 187)
Symmetry-distinct sites (fractional):
Rb  0.0000  0.0000  0.0000
Al  0.0791  0.5396  0.0000
Tl  0.3839  0.1919  0.5000
Au  0.2158  0.4316  0.5000
Au  0.6667  0.3333  0.0000



Entry 4:
Computed X-ray powder pattern
Compound: Al2Au2Se3S
Radiation: λ = 1.5418 Å (Cu Kα)
Structure: a DFT-relaxed cell (GGA-PBE, OQMD)
Lines closer than 0.1° are merged.

The 10 most intense peaks (5° ≤ 2θ ≤ 70°), low angle first:
| Position (°2θ) | Rel. int. | (hkl) |
| --- | --- | --- |
| 17.03 | 674 | 1 1 0 |
| 26.63 | 794 | 1 1 1 |
| 26.94 | 1000 | 3 1 -1 |
| 28.23 | 200 | 2 0 1 |
| 35.02 | 274 | 1 1 -2 |
| 43.60 | 422 | 2 2 -2 |
| 44.50 | 195 | 2 0 2 |
| 44.82 | 401 | 4 2 0 |
| 45.29 | 203 | 6 0 -2 |
| 51.74 | 329 | 1 3 1 |

Structural model:
Unit cell a=12.503 b=5.882 c=5.862 alpha=90.00 beta=117.00 gamma=90.00
Space group C2 (No. 5)
Symmetry-distinct sites (fractional):
Al  0.123  0.000  0.377
Au  0.117  0.523  0.851
Se  0.000  0.226  0.000
Se  0.250  0.252  0.723
S  0.000  0.796  0.500